For TbSi2TcRu, a structure optimized by DFT (GGA-PBE) gives the computed X-ray powder pattern in this record (Cu Kα X-rays).
Kinematic intensities with the Lorentz-polarization factor, no thermal factor.

```
5
Lattice="-2.104 2.104 4.834 2.104 -2.104 4.834 2.104 2.104 -4.834" Properties=species:S:1:pos:R:3 pbc="T T T"
Tb 0.000 0.000 0.000
Si 0.000 0.000 3.574
Si 0.000 0.000 6.095
Tc 0.000 2.104 2.417
Ru 2.104 0.000 2.417
```

Principal peaks in the range 2θ = 5–70°, by angle:
2theta, I (rel.)
23.1, 31.6
35.1, 32.7
35.4, 100.0
37.2, 15.9
43.0, 39.6
52.0, 9.4
56.6, 16.3
58.1, 17.3
62.4, 12.9
65.9, 17.4